For Zn2Ni3Pt, a DFT-relaxed cell (GGA-PBE, Alexandria) gives the simulated powder X-ray diffraction pattern in this record (Cu Kα X-rays).
No peak broadening, texture or thermal motion is included.

Largest 6 diffraction maxima, by angle, 5 to 70 degrees two-theta:
2theta	intensity
14.90	63.4
40.32	79.1
42.40	72.8
43.58	100.0
43.72	81.1
45.37	82.0

Crystal structure
a b c (Å): 6.3235 6.3235 12.1897
angles (deg): 92.73 92.73 140.19
Element x y z (fractional)
Zn (0.0018, 0.1728, 0.9518)
Zn (0.0819, 0.8062, 0.6449)
Zn (0.1728, 0.0018, 0.4518)
Zn (0.1938, 0.9181, 0.8551)
Zn (0.8062, 0.0819, 0.1449)
Zn (0.8272, 0.9982, 0.5482)
Zn (0.9181, 0.1938, 0.3551)
Zn (0.9982, 0.8272, 0.0482)
Ni (0.0642, 0.9358, 0.2500)
Ni (0.2127, 0.6973, 0.1515)
Ni (0.2457, 0.6126, 0.5414)
Ni (0.3027, 0.7873, 0.3485)
Ni (0.3236, 0.6764, 0.7500)
Ni (0.3874, 0.7543, 0.9586)
Ni (0.6126, 0.2457, 0.0414)
Ni (0.6764, 0.3236, 0.2500)
Ni (0.6973, 0.2127, 0.6515)
Ni (0.7543, 0.3874, 0.4586)
Ni (0.7873, 0.3027, 0.8485)
Ni (0.9358, 0.0642, 0.7500)
Pt (0.4273, 0.4605, 0.1353)
Pt (0.4605, 0.4273, 0.6353)
Pt (0.5395, 0.5727, 0.3647)
Pt (0.5727, 0.5395, 0.8647)

---

For Dy5Ho5Th, a DFT-relaxed cell (GGA-PBE, Alexandria) gives the simulated powder X-ray diffraction pattern in this record (Cu Kα X-rays).
No peak broadening, texture or thermal motion is included.

Largest 6 diffraction maxima, by angle, 5 to 70 degrees two-theta:
2theta	intensity
28.90	100.0
29.64	85.7
30.66	34.3
35.66	29.6
37.85	26.0
52.14	38.9

Crystal structure
a b c (Å): 6.0286 6.0286 11.4955
angles (deg): 90.00 90.00 120.00
Element x y z (fractional)
Dy (0.0000, 0.0000, 0.2371)
Dy (0.0000, 0.0000, 0.7629)
Dy (0.3352, 0.1676, 0.0000)
Dy (0.8324, 0.1676, 0.0000)
Dy (0.8324, 0.6648, 0.0000)
Ho (0.0000, 0.0000, 0.5000)
Ho (0.3333, 0.6667, 0.1751)
Ho (0.3333, 0.6667, 0.8249)
Ho (0.6667, 0.3333, 0.3475)
Ho (0.6667, 0.3333, 0.6525)
Th (0.3333, 0.6667, 0.5000)

---

For Ca7NbSi2N9, a DFT-relaxed cell (GGA-PBE, Alexandria) gives the simulated powder X-ray diffraction pattern in this record (Cu Kα X-rays).
No peak broadening, texture or thermal motion is included.

Largest 6 diffraction maxima, by angle, 5 to 70 degrees two-theta:
2theta	intensity
20.01	28.0
30.82	41.9
32.46	76.1
36.25	56.4
36.46	100.0
53.06	24.1

Crystal structure
a b c (Å): 6.0647 9.9583 9.0288
angles (deg): 90.00 91.90 90.00
Element x y z (fractional)
Ca (0.0681, 0.0565, 0.1660)
Ca (0.0681, 0.4435, 0.1660)
Ca (0.2507, 0.5774, 0.4950)
Ca (0.2507, 0.9226, 0.4950)
Ca (0.4097, 0.7500, 0.8013)
Ca (0.4307, 0.0781, 0.8313)
Ca (0.4307, 0.4219, 0.8313)
Ca (0.5693, 0.5781, 0.1687)
Ca (0.5693, 0.9219, 0.1687)
Ca (0.5903, 0.2500, 0.1987)
Ca (0.7493, 0.0774, 0.5050)
Ca (0.7493, 0.4226, 0.5050)
Ca (0.9319, 0.5565, 0.8340)
Ca (0.9319, 0.9435, 0.8340)
Nb (0.2203, 0.2500, 0.4377)
Nb (0.7797, 0.7500, 0.5623)
Si (0.0411, 0.2500, 0.7221)
Si (0.1760, 0.7500, 0.0620)
Si (0.8240, 0.2500, 0.9380)
Si (0.9589, 0.7500, 0.2779)
N (0.0584, 0.7500, 0.6678)
N (0.1203, 0.2500, 0.9157)
N (0.1339, 0.1094, 0.6306)
N (0.1339, 0.3906, 0.6306)
N (0.2535, 0.7500, 0.2587)
N (0.2675, 0.6005, 0.9816)
N (0.2675, 0.8995, 0.9816)
N (0.3848, 0.0979, 0.3415)
N (0.3848, 0.4021, 0.3415)
N (0.6152, 0.5979, 0.6585)
N (0.6152, 0.9021, 0.6585)
N (0.7325, 0.1005, 0.0184)
N (0.7325, 0.3995, 0.0184)
N (0.7465, 0.2500, 0.7413)
N (0.8661, 0.6094, 0.3694)
N (0.8661, 0.8906, 0.3694)
N (0.8797, 0.7500, 0.0843)
N (0.9416, 0.2500, 0.3322)

---

For CsYPuBr6, a DFT-relaxed cell (GGA-PBE, Alexandria) gives the simulated powder X-ray diffraction pattern in this record (Cu Kα X-rays).
No peak broadening, texture or thermal motion is included.

Largest 6 diffraction maxima, by angle, 5 to 70 degrees two-theta:
2theta	intensity
10.95	47.9
17.45	94.0
26.06	62.9
32.47	100.0
38.08	29.8
41.44	41.1

Crystal structure
a b c (Å): 7.5491 7.5491 16.1569
angles (deg): 90.00 90.00 120.00
Element x y z (fractional)
Cs (0.0000, 0.0000, 0.0000)
Cs (0.0000, 0.0000, 0.5000)
Y (0.3333, 0.6667, 0.2500)
Y (0.6667, 0.3333, 0.7500)
Pu (0.3333, 0.6667, 0.7500)
Pu (0.6667, 0.3333, 0.2500)
Br (0.0157, 0.3807, 0.1464)
Br (0.0157, 0.6350, 0.3536)
Br (0.3650, 0.3807, 0.3536)
Br (0.3650, 0.9843, 0.1464)
Br (0.3807, 0.0157, 0.6464)
Br (0.3807, 0.3650, 0.8536)
Br (0.6193, 0.6350, 0.1464)
Br (0.6193, 0.9843, 0.3536)
Br (0.6350, 0.0157, 0.8536)
Br (0.6350, 0.6193, 0.6464)
Br (0.9843, 0.3650, 0.6464)
Br (0.9843, 0.6193, 0.8536)

---

For Dy6Sc, a DFT-relaxed cell (GGA-PBE, Alexandria) gives the simulated powder X-ray diffraction pattern in this record (Cu Kα X-rays).
No peak broadening, texture or thermal motion is included.

Largest 6 diffraction maxima, by angle, 5 to 70 degrees two-theta:
2theta	intensity
21.35	56.1
29.25	84.1
31.41	62.7
32.41	55.3
32.53	75.4
35.52	100.0

Crystal structure
a b c (Å): 6.3546 6.3546 11.0487
angles (deg): 90.00 90.00 90.00
Element x y z (fractional)
Dy (0.0812, 0.5812, 0.1379)
Dy (0.0812, 0.9188, 0.8621)
Dy (0.2500, 0.2500, 0.3632)
Dy (0.2500, 0.2500, 0.6368)
Dy (0.4188, 0.5812, 0.8621)
Dy (0.4188, 0.9188, 0.1379)
Dy (0.5812, 0.0812, 0.8621)
Dy (0.5812, 0.4188, 0.1379)
Dy (0.7500, 0.7500, 0.3632)
Dy (0.7500, 0.7500, 0.6368)
Dy (0.9188, 0.0812, 0.1379)
Dy (0.9188, 0.4188, 0.8621)
Sc (0.2500, 0.7500, 0.5000)
Sc (0.7500, 0.2500, 0.5000)

---

For TcGe4, a DFT-relaxed cell (GGA-PBE, Alexandria) gives the simulated powder X-ray diffraction pattern in this record (Cu Kα X-rays).
No peak broadening, texture or thermal motion is included.

Largest 6 diffraction maxima, by angle, 5 to 70 degrees two-theta:
2theta	intensity
18.37	38.4
26.09	32.5
32.09	49.8
37.23	100.0
53.66	68.2
67.12	22.8

Crystal structure
a b c (Å): 4.8307 4.8307 4.8307
angles (deg): 90.00 90.00 90.00
Element x y z (fractional)
Tc (0.0000, 0.0000, 0.0000)
Ge (0.0000, 0.0000, 0.5000)
Ge (0.0000, 0.5000, 0.0000)
Ge (0.5000, 0.0000, 0.0000)
Ge (0.5000, 0.5000, 0.5000)

---

For Na4Cd3In16, a DFT-relaxed cell (GGA-PBE, Alexandria) gives the simulated powder X-ray diffraction pattern in this record (Cu Kα X-rays).
No peak broadening, texture or thermal motion is included.

Largest 6 diffraction maxima, by angle, 5 to 70 degrees two-theta:
2theta	intensity
18.65	27.1
33.37	100.0
34.50	85.3
39.17	32.5
49.60	28.3
61.10	25.2

Crystal structure
a b c (Å): 7.3521 7.3521 11.7946
angles (deg): 90.00 90.00 90.00
Element x y z (fractional)
Na (0.0000, 0.5000, 0.1778)
Na (0.0000, 0.5000, 0.8222)
Na (0.5000, 0.0000, 0.1778)
Na (0.5000, 0.0000, 0.8222)
Cd (0.0000, 0.0000, 0.0000)
Cd (0.0000, 0.5000, 0.5000)
Cd (0.5000, 0.0000, 0.5000)
In (0.0000, 0.0000, 0.2404)
In (0.0000, 0.0000, 0.7596)
In (0.2571, 0.2571, 0.3647)
In (0.2571, 0.2571, 0.6353)
In (0.2571, 0.7429, 0.3647)
In (0.2571, 0.7429, 0.6353)
In (0.2899, 0.2899, 0.0000)
In (0.2899, 0.7101, 0.0000)
In (0.5000, 0.5000, 0.2065)
In (0.5000, 0.5000, 0.7935)
In (0.7101, 0.2899, 0.0000)
In (0.7101, 0.7101, 0.0000)
In (0.7429, 0.2571, 0.3647)
In (0.7429, 0.2571, 0.6353)
In (0.7429, 0.7429, 0.3647)
In (0.7429, 0.7429, 0.6353)

---

For Pu2Ga8Pt, a DFT-relaxed cell (GGA-PBE, Alexandria) gives the simulated powder X-ray diffraction pattern in this record (Cu Kα X-rays).
No peak broadening, texture or thermal motion is included.

Largest 6 diffraction maxima, by angle, 5 to 70 degrees two-theta:
2theta	intensity
20.45	49.6
31.63	30.5
33.29	18.6
37.96	100.0
41.59	49.2
60.28	16.4

Crystal structure
a b c (Å): 4.3428 4.3428 11.1827
angles (deg): 90.00 90.00 90.00
Element x y z (fractional)
Pu (0.0000, 0.0000, 0.1907)
Pu (0.0000, 0.0000, 0.8093)
Ga (0.0000, 0.5000, 0.0000)
Ga (0.0000, 0.5000, 0.3724)
Ga (0.0000, 0.5000, 0.6276)
Ga (0.5000, 0.0000, 0.0000)
Ga (0.5000, 0.0000, 0.3724)
Ga (0.5000, 0.0000, 0.6276)
Ga (0.5000, 0.5000, 0.1923)
Ga (0.5000, 0.5000, 0.8077)
Pt (0.0000, 0.0000, 0.5000)